(1)
Theoretical powder X-ray diffraction pattern of RbTmVBr6 for Cu Ka, from DFT lattice parameters and positions (PBE).
Peak positions follow from Bragg's law for the DFT cell and can differ from measured ones.

Atomic structure:
a b c (Å): 6.9961 6.9961 15.7426
angles (deg): 90.00 90.00 120.00
Sites, in units of the cell vectors:
1 Rb 0.0000 0.0000 0.0000
2 Rb 0.0000 0.0000 0.5000
3 Tm 0.3333 0.6667 0.2500
4 Tm 0.6667 0.3333 0.7500
5 V 0.3333 0.6667 0.7500
6 V 0.6667 0.3333 0.2500
7 Br 0.0131 0.3731 0.6510
8 Br 0.0131 0.6400 0.8490
9 Br 0.3600 0.3731 0.8490
10 Br 0.3600 0.9869 0.6510
11 Br 0.3731 0.0131 0.1510
12 Br 0.3731 0.3600 0.3490
13 Br 0.6269 0.6400 0.6510
14 Br 0.6269 0.9869 0.8490
15 Br 0.6400 0.0131 0.3490
16 Br 0.6400 0.6269 0.1510
17 Br 0.9869 0.3600 0.1510
18 Br 0.9869 0.6269 0.3490

The 10 most intense peaks (10° ≤ 2θ ≤ 90°), in order of falling intensity:
Position (°2θ)  I (rel.)
34.3  100
27.9  87
18.5  72
11.2  67
44.9  41
43.1  32
57.7  24
41.0  22
53.4  19
45.8  15

---

(2)
Theoretical powder X-ray diffraction pattern of Rb3U2Br9 for Cu Ka, from DFT lattice parameters and positions (PBE).
Peak positions follow from Bragg's law for the DFT cell and can differ from measured ones.

Atomic structure:
a b c (Å): 10.3455 10.3455 10.3455
angles (deg): 84.90 84.90 84.90
Sites, in units of the cell vectors:
1 Rb 0.0942 0.7500 0.4058
2 Rb 0.2500 0.5942 0.9058
3 Rb 0.4058 0.0942 0.7500
4 Rb 0.5942 0.9058 0.2500
5 Rb 0.7500 0.4058 0.0942
6 Rb 0.9058 0.2500 0.5942
7 U 0.1580 0.1580 0.1580
8 U 0.3420 0.3420 0.3420
9 U 0.6580 0.6580 0.6580
10 U 0.8420 0.8420 0.8420
11 Br 0.0794 0.2682 0.9140
12 Br 0.0823 0.4177 0.2500
13 Br 0.0860 0.9206 0.7318
14 Br 0.2318 0.4206 0.5860
15 Br 0.2500 0.0823 0.4177
16 Br 0.2682 0.9140 0.0794
17 Br 0.4140 0.7682 0.5794
18 Br 0.4177 0.2500 0.0823
19 Br 0.4206 0.5860 0.2318
20 Br 0.5794 0.4140 0.7682
21 Br 0.5823 0.7500 0.9177
22 Br 0.5860 0.2318 0.4206
23 Br 0.7318 0.0860 0.9206
24 Br 0.7500 0.9177 0.5823
25 Br 0.7682 0.5794 0.4140
26 Br 0.9140 0.0794 0.2682
27 Br 0.9177 0.5823 0.7500
28 Br 0.9206 0.7318 0.0860

The 10 most intense peaks (10° ≤ 2θ ≤ 90°), in order of falling intensity:
Position (°2θ)  I (rel.)
29.1  100
12.7  76
37.9  57
45.0  40
22.0  29
30.4  27
49.6  25
34.0  25
11.7  22
19.7  19

---

(3)
Theoretical powder X-ray diffraction pattern of Rb2UBr4 for Cu Ka, from DFT lattice parameters and positions (PBE).
Peak positions follow from Bragg's law for the DFT cell and can differ from measured ones.

Atomic structure:
a b c (Å): 9.6964 9.6964 9.6964
angles (deg): 145.35 145.35 49.81
Sites, in units of the cell vectors:
1 Rb 0.1375 0.1375 0.0000
2 Rb 0.8625 0.8625 0.0000
3 U 0.5000 0.5000 0.0000
4 Br 0.0000 0.5000 0.5000
5 Br 0.3318 0.3318 0.0000
6 Br 0.5000 0.0000 0.5000
7 Br 0.6682 0.6682 0.0000

The 10 most intense peaks (10° ≤ 2θ ≤ 90°), in order of falling intensity:
Position (°2θ)  I (rel.)
31.0  100
10.1  96
21.8  72
16.2  66
29.7  61
44.0  57
43.5  43
30.5  39
21.6  39
44.4  37

---

(4)
Theoretical powder X-ray diffraction pattern of RbUZn2Br8 for Cu Ka, from DFT lattice parameters and positions (PBE).
Peak positions follow from Bragg's law for the DFT cell and can differ from measured ones.

Atomic structure:
a b c (Å): 11.1844 11.1844 11.1844
angles (deg): 36.10 36.10 36.10
Sites, in units of the cell vectors:
1 Rb 0.0000 0.0000 0.0000
2 U 0.5000 0.5000 0.5000
3 Zn 0.2499 0.2499 0.2499
4 Zn 0.7501 0.7501 0.7501
5 Br 0.1084 0.7874 0.4383
6 Br 0.2126 0.5617 0.8916
7 Br 0.3250 0.3250 0.3250
8 Br 0.4383 0.1084 0.7874
9 Br 0.5617 0.8916 0.2126
10 Br 0.6750 0.6750 0.6750
11 Br 0.7874 0.4383 0.1084
12 Br 0.8916 0.2126 0.5617

The 10 most intense peaks (10° ≤ 2θ ≤ 90°), in order of falling intensity:
Position (°2θ)  I (rel.)
31.0  100
27.1  90
18.6  79
43.4  76
45.3  63
25.7  33
15.0  32
20.5  29
64.5  25
31.9  25